The following is a calculated X-ray powder pattern of HoPuNp. It was derived from a DFT-relaxed cell (GGA-PBE, Alexandria), using copper Kα.
Kinematic intensities with the Lorentz-polarization factor, no thermal factor.

```
data_HoPuNp
_symmetry_space_group_name_H-M 'P n m a'
_symmetry_Int_Tables_number 62
_symmetry_space_group_name_Hall '-P 2ac 2n'
_cell_length_a 12.5461
_cell_length_b 4.3019
_cell_length_c 5.0637
_cell_angle_alpha 90.00
_cell_angle_beta 90.00
_cell_angle_gamma 90.00
loop_
_atom_site_label
_atom_site_type_symbol
_atom_site_fract_x
_atom_site_fract_y
_atom_site_fract_z
Ho1 Ho 0.2013 0.2500 0.2448
Pu1 Pu 0.0056 0.2500 0.8328
Np1 Np 0.0599 0.7500 0.6321
```

Most intense lines, 10° ≤ 2θ ≤ 90°, by intensity:
2theta, d/Å, I_rel
42.02, 2.150, 1000
14.12, 6.273, 933
35.43, 2.534, 498
33.61, 2.666, 419
30.77, 2.906, 380
46.97, 1.935, 258
66.04, 1.415, 240
28.46, 3.137, 236
54.84, 1.674, 217
76.78, 1.241, 169